Structure and calculated X-ray powder pattern of ThNi (the PBE geometry in the Materials Project; Cu Kα, 1.54184 Å).
No peak broadening, texture or thermal motion is included.

Structure:
Cell lengths 14.1187, 4.2803, 5.7034 Å; angles 90.00, 90.00, 90.00 degrees
Space group Pnma (No. 62)
One atom of each set of equivalent atoms:
Th1 0.0346 0.2500 0.2478 (multiplicity 4)
Th2 0.2153 0.7500 0.5367 (multiplicity 4)
Ni1 0.1049 0.2500 0.7561 (multiplicity 4)
Ni2 0.1456 0.7500 0.0311 (multiplicity 4)

Peak list (6 most intense, 10 to 90 degrees two-theta, in order of rising 2θ)
hkl  d_spacing  I_rel
1 1 1  3.327  53.9
4 1 0  2.723  100.0
2 0 2  2.644  96.8
4 1 1  2.457  55.2
2 1 2  2.250  64.0
0 2 0  2.140  51.4


Structure and calculated X-ray powder pattern of BaCaSbF7 (the PBE geometry in the Materials Project; Cu Kα, 1.54184 Å).
No peak broadening, texture or thermal motion is included.

Structure:
Cell lengths 6.0510, 10.7073, 10.1395 Å; angles 90.00, 93.57, 90.00 degrees
Space group P2_1/c (No. 14)
One atom of each set of equivalent atoms:
Ba1 0.2317 0.1754 0.0032 (multiplicity 4)
Ca1 0.1867 0.5944 0.8213 (multiplicity 4)
Sb1 0.2858 0.6010 0.1981 (multiplicity 4)
F1 0.0195 0.2404 0.2611 (multiplicity 4)
F2 0.0224 0.5072 0.6401 (multiplicity 4)
F3 0.1449 0.0777 0.5807 (multiplicity 4)
F4 0.2535 0.7118 0.0143 (multiplicity 4)
F5 0.4158 0.0688 0.3811 (multiplicity 4)
F6 0.4566 0.7370 0.7668 (multiplicity 4)
F7 0.4736 0.5142 0.3624 (multiplicity 4)

Peak list (6 most intense, 10 to 90 degrees two-theta, in order of rising 2θ)
hkl  d_spacing  I_rel
1 2 -1  3.779  100.0
1 1 -2  3.750  57.0
1 2 1  3.675  42.4
1 1 2  3.552  80.1
2 1 -3  2.270  38.9
1 4 -3  2.004  37.6


Structure and calculated X-ray powder pattern of FePd2 (the PBE geometry in the Materials Project; Cu Kα, 1.54184 Å).
No peak broadening, texture or thermal motion is included.

Structure:
Cell lengths 2.7164, 2.7164, 6.4923 Å; angles 90.00, 90.00, 120.00 degrees
Space group P-3m1 (No. 164)
One atom of each set of equivalent atoms:
Fe1 0.0000 0.0000 0.0000 (multiplicity 1)
Pd1 0.3333 0.6667 0.6836 (multiplicity 2)

Peak list (6 most intense, 10 to 90 degrees two-theta, in order of rising 2θ)
hkl  d_spacing  I_rel
1 0 1  2.212  100.0
0 0 3  2.164  27.3
0 1 2  1.905  57.5
1 1 0  1.358  18.8
1 0 4  1.336  18.8
1 1 3  1.150  20.2


Structure and calculated X-ray powder pattern of Rb2NdAgF6 (the PBE geometry in the Materials Project; Cu Kα, 1.54184 Å).
No peak broadening, texture or thermal motion is included.

Structure:
Cell lengths 9.4699, 9.4699, 9.4699 Å; angles 90.00, 90.00, 90.00 degrees
Space group Fm-3m (No. 225)
One atom of each set of equivalent atoms:
Rb1 0.2500 0.2500 0.2500 (multiplicity 8)
Nd1 0.0000 0.0000 0.0000 (multiplicity 4)
Ag1 0.0000 0.0000 0.5000 (multiplicity 4)
F1 0.0000 0.0000 0.2400 (multiplicity 24)

Peak list (6 most intense, 10 to 90 degrees two-theta, in order of rising 2θ)
hkl  d_spacing  I_rel
2 2 0  3.348  100.0
4 0 0  2.367  37.8
4 2 2  1.933  42.2
4 4 0  1.674  24.2
6 2 0  1.497  18.8
6 4 2  1.265  21.6


Structure and calculated X-ray powder pattern of Na2Al2B2O7 (the PBE geometry in the Materials Project; Cu Kα, 1.54184 Å).
No peak broadening, texture or thermal motion is included.

Structure:
Cell lengths 4.8726, 4.8726, 15.5945 Å; angles 90.00, 90.00, 120.00 degrees
Space group P-31c (No. 163)
One atom of each set of equivalent atoms:
Na1 0.0000 0.0000 0.0000 (multiplicity 2)
Na2 0.0000 0.0000 0.2500 (multiplicity 2)
Al1 0.3333 0.6667 0.1388 (multiplicity 4)
B1 0.3333 0.6667 0.6041 (multiplicity 4)
O1 0.0393 0.3944 0.6041 (multiplicity 12)
O2 0.3333 0.6667 0.2500 (multiplicity 2)

Peak list (6 most intense, 10 to 90 degrees two-theta, in order of rising 2θ)
hkl  d_spacing  I_rel
1 0 1  4.073  37.1
0 0 4  3.899  45.3
1 0 4  2.864  100.0
1 1 0  2.436  35.7
1 1 2  2.325  46.9
3 0 0  1.407  23.0


Structure and calculated X-ray powder pattern of Nb12Al3Ge (the PBE geometry in the Materials Project; Cu Kα, 1.54184 Å).
No peak broadening, texture or thermal motion is included.

Structure:
Cell lengths 5.1989, 5.2022, 10.3936 Å; angles 90.00, 90.00, 90.00 degrees
Space group Pmmm (No. 47)
One atom of each set of equivalent atoms:
Nb1 0.0000 0.0000 0.1249 (multiplicity 2)
Nb2 0.0000 0.0000 0.3750 (multiplicity 2)
Nb3 0.2501 0.5000 0.0000 (multiplicity 2)
Nb4 0.2507 0.5000 0.5000 (multiplicity 2)
Nb5 0.5000 0.2503 0.2498 (multiplicity 4)
Al1 0.0000 0.5000 0.2499 (multiplicity 2)
Al2 0.5000 0.0000 0.5000 (multiplicity 1)
Ge1 0.5000 0.0000 0.0000 (multiplicity 1)

Peak list (6 most intense, 10 to 90 degrees two-theta, in order of rising 2θ)
hkl  d_spacing  I_rel
2 0 0  2.600  17.1
1 0 4  2.325  100.0
2 1 2  2.123  37.6
2 3 0  1.442  21.3
3 1 4  1.390  18.6
4 2 2  1.135  19.4